Starting from a crystal structure in Alexandria, relaxed with PBE, the powder diffraction line list of Li3Sb was simulated for Cu Kα, 1.54184 Å.
Lines closer than 0.1° are merged.

Atomic structure:
a b c (Å): 4.6409 4.6409 6.5518
angles (deg): 90.00 90.00 90.00
Space group I4/mmm (No. 139)
Unique sites:
Li 0.0000 0.0000 0.0000 x2
Li 0.0000 0.5000 0.2500 x4
Sb 0.0000 0.0000 0.5000 x2

Peak list (10 most intense, 10 to 90 degrees two-theta, in order of rising 2θ)
3.787 Å, I = 100, (1 0 1); 3.280 Å, I = 52, (1 1 0); 2.319 Å, I = 56, (2 0 0); 1.978 Å, I = 50, (2 1 1); 1.894 Å, I = 14, (2 0 2); 1.505 Å, I = 20, (3 0 1); 1.467 Å, I = 18, (3 1 0); 1.339 Å, I = 19, (3 1 2); 1.263 Å, I = 11, (3 2 1); 1.109 Å, I = 10, (4 1 1)



Starting from a crystal structure in Alexandria, relaxed with PBE, the powder diffraction line list of LiSb5 was simulated for Cu Kα, 1.54184 Å.
Lines closer than 0.1° are merged.

Atomic structure:
a b c (Å): 5.8167 5.8167 5.3409
angles (deg): 90.00 90.00 120.00
Space group P-62m (No. 189)
Unique sites:
Li 0.0000 0.0000 0.0000 x1
Sb 0.0000 0.6987 0.5000 x3
Sb 0.3333 0.6667 0.0000 x2

Peak list (10 most intense, 10 to 90 degrees two-theta, in order of rising 2θ)
3.665 Å, I = 25, (1 0 1); 2.908 Å, I = 26, (1 1 0); 2.670 Å, I = 26, (0 0 2); 2.554 Å, I = 100, (1 1 1); 1.967 Å, I = 17, (1 1 2); 1.679 Å, I = 19, (3 0 0); 1.518 Å, I = 20, (1 1 3); 1.421 Å, I = 19, (3 0 2); 1.403 Å, I = 13, (2 2 1); 1.126 Å, I = 7, (2 2 3)



Starting from a crystal structure in Alexandria, relaxed with PBE, the powder diffraction line list of Li5Sb3 was simulated for Cu Kα, 1.54184 Å.
Lines closer than 0.1° are merged.

Atomic structure:
a b c (Å): 8.3497 8.3497 5.5896
angles (deg): 90.00 90.00 120.00
Space group P6_3/mcm (No. 193)
Unique sites:
Li 0.0000 0.2618 0.2500 x6
Li 0.3333 0.6667 0.0000 x4
Sb 0.0000 0.3950 0.7500 x6

Peak list (10 most intense, 10 to 90 degrees two-theta, in order of rising 2θ)
7.231 Å, I = 24, (1 0 0); 4.175 Å, I = 33, (1 1 0); 3.616 Å, I = 27, (2 0 0); 3.345 Å, I = 100, (1 1 1); 2.795 Å, I = 22, (0 0 2); 2.455 Å, I = 36, (2 1 1); 2.410 Å, I = 17, (3 0 0); 2.322 Å, I = 18, (1 1 2); 2.211 Å, I = 16, (2 0 2); 1.888 Å, I = 36, (3 1 1)



Starting from a crystal structure in Alexandria, relaxed with PBE, the powder diffraction line list of Li3Sb2 was simulated for Cu Kα, 1.54184 Å.
Lines closer than 0.1° are merged.

Atomic structure:
a b c (Å): 8.0787 8.0787 12.0551
angles (deg): 90.00 90.00 120.00
Space group R-3c (No. 167, hexagonal axes)
Unique sites:
Li 0.0000 0.3072 0.2500 x18
Sb 0.0000 0.0000 0.1226 x12

Peak list (10 most intense, 10 to 90 degrees two-theta, in order of rising 2θ)
4.039 Å, I = 100, (1 1 0); 2.768 Å, I = 39, (1 0 4); 2.332 Å, I = 28, (3 0 0); 2.283 Å, I = 24, (0 2 4); 2.020 Å, I = 15, (2 2 0); 1.988 Å, I = 31, (2 1 4); 1.632 Å, I = 16, (1 3 4); 1.527 Å, I = 12, (4 1 0); 1.417 Å, I = 10, (3 2 4); 1.309 Å, I = 7, (1 2 8)



Starting from a crystal structure in Alexandria, relaxed with PBE, the powder diffraction line list of LiSb6 was simulated for Cu Kα, 1.54184 Å.
Lines closer than 0.1° are merged.

Atomic structure:
a b c (Å): 8.4590 8.4590 8.4590
angles (deg): 90.00 90.00 90.00
Space group Im-3m (No. 229)
Unique sites:
Li 0.0000 0.0000 0.0000 x2
Sb 0.0000 0.2500 0.5000 x12

Peak list (10 most intense, 10 to 90 degrees two-theta, in order of rising 2θ)
5.981 Å, I = 100, (1 1 0); 4.230 Å, I = 24, (2 0 0); 3.453 Å, I = 59, (2 1 1); 2.675 Å, I = 27, (3 1 0); 2.442 Å, I = 65, (2 2 2); 2.261 Å, I = 37, (3 2 1); 2.115 Å, I = 33, (4 0 0); 1.659 Å, I = 19, (5 1 0); 1.495 Å, I = 21, (4 4 0); 1.275 Å, I = 24, (6 2 2)



Starting from a crystal structure in Alexandria, relaxed with PBE, the powder diffraction line list of Li2SbSe4 was simulated for Cu Kα, 1.54184 Å.
Lines closer than 0.1° are merged.

Atomic structure:
a b c (Å): 7.9799 10.6056 3.7405
angles (deg): 90.00 90.00 90.00
Space group Pbam (No. 55)
Unique sites:
Li 0.1642 0.2084 0.0000 x4
Sb 0.0000 0.5000 0.5000 x2
Se 0.0868 0.7454 0.5000 x4
Se 0.2484 0.4582 0.0000 x4

Peak list (10 most intense, 10 to 90 degrees two-theta, in order of rising 2θ)
6.377 Å, I = 97, (1 1 0); 3.736 Å, I = 42, (2 1 0); 3.228 Å, I = 54, (1 1 1); 2.729 Å, I = 100, (2 0 1); 2.650 Å, I = 61, (0 4 0); 2.643 Å, I = 32, (2 1 1); 2.426 Å, I = 36, (2 2 1); 2.162 Å, I = 32, (0 4 1); 1.902 Å, I = 40, (2 4 1); 1.867 Å, I = 31, (4 2 0)